No. 1
The following is a calculated X-ray diffraction stick pattern of DyLuSiGeOs. It was derived from DFT lattice parameters and positions (PBE), using copper Kα.
Intensities are scaled so that the largest is 100.

Cell lengths 10.7331, 4.2717, 9.9221 Å; angles 90.00, 118.76, 90.00 degrees
Space group C2/m (No. 12)
Symmetry-distinct sites (fractional):
Dy: 0.0081 0.0000 0.1818 x4
Lu: 0.1803 0.0000 0.6098 x4
Si: 0.0055 0.5000 0.3782 x4
Ge: 0.1430 0.5000 0.0627 x4
Os: 0.2249 0.5000 0.8623 x4

Largest 8 diffraction maxima, in order of rising 2θ, 2θ from 15° to 90°:
2θ = 27.56°, intensity 31, (1 1 -2); 2θ = 32.83°, intensity 36, (3 1 -1); 2θ = 33.40°, intensity 73, (3 1 -2); 2θ = 33.84°, intensity 100, (1 1 2); 2θ = 36.22°, intensity 28, (2 0 -4); 2θ = 37.02°, intensity 65, (3 1 -3); 2θ = 40.83°, intensity 79, (3 1 1); 2θ = 42.32°, intensity 59, (0 2 0)

***

No. 2
The following is a calculated X-ray diffraction stick pattern of PtF4. It was derived from DFT lattice parameters and positions (PBE), using copper Kα.
Intensities are scaled so that the largest is 100.

Cell lengths 4.2315, 3.1270, 4.2598 Å; angles 90.00, 97.66, 90.00 degrees
Space group P2/m (No. 10)
Symmetry-distinct sites (fractional):
Pt: 0.0000 0.0000 0.0000 x1
F: 0.2370 0.5000 0.2054 x2
F: 0.2916 0.0000 0.6861 x2

Largest 8 diffraction maxima, in order of rising 2θ, 2θ from 15° to 90°:
2θ = 21.04°, intensity 100, (0 0 1); 2θ = 21.19°, intensity 96, (1 0 0); 2θ = 27.92°, intensity 57, (1 0 -1); 2θ = 28.55°, intensity 50, (0 1 0); 2θ = 32.02°, intensity 38, (1 0 1); 2θ = 35.78°, intensity 89, (1 1 0); 2θ = 43.42°, intensity 62, (1 1 1); 2θ = 45.46°, intensity 23, (1 0 -2)

***

No. 3
The following is a calculated X-ray diffraction stick pattern of RbHo2CuSeS3. It was derived from DFT lattice parameters and positions (PBE), using copper Kα.
Intensities are scaled so that the largest is 100.

Cell lengths 4.0005, 13.8500, 13.9480 Å; angles 90.00, 90.00, 90.00 degrees
Space group Cmcm (No. 63)
Symmetry-distinct sites (fractional):
Rb: 0.0000 0.1152 0.2500 x4
Ho: 0.0000 0.3659 0.0586 x8
Cu: 0.0000 0.1713 0.7500 x4
Se: 0.0000 0.4305 0.2500 x4
S: 0.0000 0.0000 0.0000 x4
S: 0.0000 0.2578 0.6064 x8

Largest 8 diffraction maxima, in order of rising 2θ, 2θ from 15° to 90°:
2θ = 23.04°, intensity 52, (0 2 3); 2θ = 25.73°, intensity 37, (0 4 0); 2θ = 30.23°, intensity 73, (1 3 1); 2θ = 32.27°, intensity 100, (1 3 2); 2θ = 34.67°, intensity 36, (0 2 5); 2θ = 39.93°, intensity 31, (1 1 5); 2θ = 44.17°, intensity 31, (1 3 5); 2θ = 44.29°, intensity 46, (1 5 3)